1.
This entry pairs a crystal structure of LiZn6Fe17O32 with its computed powder diffraction line list. Radiation: Cu Kα. Structure: a crystal structure in the Materials Project, relaxed with GGA+U.

Atomic structure:
```
data_LiZn6Fe17O32
_cell_length_a 6.047
_cell_length_b 6.047
_cell_length_c 19.924
_cell_angle_alpha 98.54
_cell_angle_beta 98.54
_cell_angle_gamma 60.08
_space_group_name_H-M_alt 'P 1'
_space_group_IT_number 1
loop_
_space_group_symop_operation_xyz
'x,y,z'
loop_
_atom_site_label
_atom_site_type_symbol
_atom_site_fract_x
_atom_site_fract_y
_atom_site_fract_z
_atom_site_occupancy
Li1 Li 0.000 0.000 0.000 1
Zn1 Zn 0.092 0.092 0.278 1
Zn2 Zn 0.216 0.216 0.152 1
Zn3 Zn 0.595 0.595 0.781 1
Zn4 Zn 0.718 0.718 0.655 1
Zn5 Zn 0.843 0.843 0.529 1
Zn6 Zn 0.968 0.968 0.404 1
Fe1 Fe 0.192 0.192 0.563 1
Fe2 Fe 0.214 0.722 0.152 1
Fe3 Fe 0.218 0.718 0.655 1
Fe4 Fe 0.244 0.244 0.745 1
Fe5 Fe 0.344 0.344 0.027 1
Fe6 Fe 0.441 0.441 0.310 1
Fe7 Fe 0.467 0.467 0.907 1
Fe8 Fe 0.467 0.976 0.908 1
Fe9 Fe 0.468 0.968 0.404 1
Fe10 Fe 0.494 0.494 0.496 1
Fe11 Fe 0.692 0.692 0.061 1
Fe12 Fe 0.718 0.218 0.655 1
Fe13 Fe 0.722 0.214 0.152 1
Fe14 Fe 0.744 0.744 0.247 1
Fe15 Fe 0.939 0.939 0.814 1
Fe16 Fe 0.968 0.468 0.404 1
Fe17 Fe 0.976 0.467 0.908 1
O1 O 0.027 0.027 0.597 1
O2 O 0.028 0.028 0.101 1
O3 O 0.033 0.547 0.596 1
O4 O 0.055 0.526 0.089 1
O5 O 0.139 0.653 0.464 1
O6 O 0.159 0.159 0.463 1
O7 O 0.174 0.618 0.965 1
O8 O 0.176 0.176 0.966 1
O9 O 0.276 0.276 0.346 1
O10 O 0.281 0.281 0.845 1
O11 O 0.284 0.796 0.345 1
O12 O 0.297 0.777 0.848 1
O13 O 0.393 0.899 0.213 1
O14 O 0.404 0.888 0.715 1
O15 O 0.407 0.407 0.211 1
O16 O 0.411 0.411 0.714 1
O17 O 0.520 0.520 0.090 1
O18 O 0.526 0.055 0.089 1
O19 O 0.527 0.527 0.597 1
O20 O 0.547 0.033 0.596 1
O21 O 0.618 0.174 0.965 1
O22 O 0.653 0.139 0.464 1
O23 O 0.654 0.654 0.962 1
O24 O 0.660 0.660 0.464 1
O25 O 0.776 0.776 0.847 1
O26 O 0.777 0.297 0.848 1
O27 O 0.777 0.777 0.347 1
O28 O 0.796 0.284 0.345 1
O29 O 0.888 0.404 0.715 1
O30 O 0.899 0.393 0.213 1
O31 O 0.906 0.906 0.212 1
O32 O 0.910 0.910 0.715 1
```

Main lines, by angle (2θ = 15–90°):
d 4.936, I = 25; d 3.025, I = 23; d 3.012, I = 18; d 2.578, I = 100; d 2.568, I = 82; d 2.134, I = 49; d 1.645, I = 29; d 1.642, I = 14; d 1.512, I = 43; d 1.507, I = 28

2.
This entry pairs a crystal structure of LiZnFe7O12 with its computed powder diffraction line list. Radiation: Cu Kα. Structure: a crystal structure in the Materials Project, relaxed with GGA+U.

Atomic structure:
```
data_LiZnFe7O12
_cell_length_a 6.039
_cell_length_b 6.039
_cell_length_c 14.775
_cell_angle_alpha 90.22
_cell_angle_beta 90.22
_cell_angle_gamma 60.05
_space_group_name_H-M_alt 'P 1'
_space_group_IT_number 1
loop_
_space_group_symop_operation_xyz
'x,y,z'
loop_
_atom_site_label
_atom_site_type_symbol
_atom_site_fract_x
_atom_site_fract_y
_atom_site_fract_z
_atom_site_occupancy
Li1 Li 0.000 0.000 0.000 1
Li2 Li 0.667 0.667 0.664 1
Zn1 Zn 0.002 0.002 0.373 1
Zn2 Zn 0.836 0.836 0.205 1
Fe1 Fe 0.001 0.001 0.750 1
Fe2 Fe 0.168 0.168 0.542 1
Fe3 Fe 0.168 0.663 0.542 1
Fe4 Fe 0.327 0.327 0.080 1
Fe5 Fe 0.328 0.839 0.206 1
Fe6 Fe 0.334 0.334 0.703 1
Fe7 Fe 0.340 0.340 0.330 1
Fe8 Fe 0.505 0.505 0.873 1
Fe9 Fe 0.506 0.989 0.875 1
Fe10 Fe 0.663 0.168 0.542 1
Fe11 Fe 0.663 0.663 0.036 1
Fe12 Fe 0.666 0.666 0.417 1
Fe13 Fe 0.839 0.328 0.206 1
Fe14 Fe 0.989 0.506 0.875 1
O1 O 0.007 0.007 0.138 1
O2 O 0.033 0.483 0.618 1
O3 O 0.165 0.165 0.286 1
O4 O 0.170 0.682 0.289 1
O5 O 0.176 0.176 0.792 1
O6 O 0.177 0.649 0.792 1
O7 O 0.319 0.842 0.464 1
O8 O 0.332 0.332 0.948 1
O9 O 0.335 0.335 0.463 1
O10 O 0.360 0.817 0.952 1
O11 O 0.483 0.033 0.618 1
O12 O 0.484 0.484 0.618 1
O13 O 0.503 0.978 0.122 1
O14 O 0.506 0.506 0.125 1
O15 O 0.649 0.177 0.792 1
O16 O 0.664 0.664 0.285 1
O17 O 0.668 0.668 0.801 1
O18 O 0.682 0.170 0.289 1
O19 O 0.817 0.360 0.952 1
O20 O 0.818 0.818 0.954 1
O21 O 0.840 0.840 0.463 1
O22 O 0.842 0.319 0.464 1
O23 O 0.978 0.503 0.122 1
O24 O 0.999 0.999 0.618 1
```

Main lines, by angle (2θ = 15–90°):
d 4.930, I = 55; d 3.020, I = 24; d 2.577, I = 100; d 2.570, I = 54; d 2.466, I = 16; d 2.138, I = 19; d 2.133, I = 37; d 1.646, I = 21; d 1.642, I = 35; d 1.510, I = 64

3.
This entry pairs a crystal structure of Li3ZnFe20O32 with its computed powder diffraction line list. Radiation: Cu Kα. Structure: a crystal structure in the Materials Project, relaxed with GGA+U.

Atomic structure:
```
data_Li3ZnFe20O32
_cell_length_a 8.473
_cell_length_b 8.473
_cell_length_c 8.477
_cell_angle_alpha 90.38
_cell_angle_beta 90.38
_cell_angle_gamma 90.39
_space_group_name_H-M_alt 'P 1'
_space_group_IT_number 1
loop_
_space_group_symop_operation_xyz
'x,y,z'
loop_
_atom_site_label
_atom_site_type_symbol
_atom_site_fract_x
_atom_site_fract_y
_atom_site_fract_z
_atom_site_occupancy
Li1 Li 0.000 0.000 0.000 1
Li2 Li 0.003 0.501 0.499 1
Li3 Li 0.501 0.003 0.499 1
Zn1 Zn 0.381 0.381 0.380 1
Fe1 Fe 0.000 0.253 0.249 1
Fe2 Fe 0.001 0.750 0.751 1
Fe3 Fe 0.119 0.119 0.617 1
Fe4 Fe 0.122 0.623 0.123 1
Fe5 Fe 0.247 0.247 0.000 1
Fe6 Fe 0.248 0.499 0.742 1
Fe7 Fe 0.252 0.750 0.497 1
Fe8 Fe 0.253 0.000 0.249 1
Fe9 Fe 0.377 0.882 0.878 1
Fe10 Fe 0.499 0.248 0.742 1
Fe11 Fe 0.502 0.502 0.001 1
Fe12 Fe 0.507 0.754 0.253 1
Fe13 Fe 0.623 0.122 0.123 1
Fe14 Fe 0.624 0.624 0.613 1
Fe15 Fe 0.750 0.001 0.751 1
Fe16 Fe 0.750 0.252 0.497 1
Fe17 Fe 0.754 0.507 0.253 1
Fe18 Fe 0.756 0.756 0.001 1
Fe19 Fe 0.881 0.881 0.381 1
Fe20 Fe 0.882 0.377 0.878 1
O1 O 0.005 0.749 0.987 1
O2 O 0.011 0.011 0.248 1
O3 O 0.011 0.253 0.008 1
O4 O 0.011 0.512 0.752 1
O5 O 0.012 0.751 0.508 1
O6 O 0.242 0.242 0.239 1
O7 O 0.247 0.747 0.744 1
O8 O 0.248 0.516 0.515 1
O9 O 0.253 0.011 0.008 1
O10 O 0.253 0.989 0.489 1
O11 O 0.257 0.257 0.755 1
O12 O 0.263 0.491 0.991 1
O13 O 0.263 0.755 0.255 1
O14 O 0.488 0.751 0.488 1
O15 O 0.490 0.990 0.248 1
O16 O 0.491 0.263 0.991 1
O17 O 0.494 0.494 0.758 1
O18 O 0.502 0.741 0.008 1
O19 O 0.512 0.011 0.752 1
O20 O 0.516 0.248 0.515 1
O21 O 0.517 0.517 0.238 1
O22 O 0.741 0.502 0.008 1
O23 O 0.742 0.742 0.252 1
O24 O 0.747 0.247 0.744 1
O25 O 0.749 0.005 0.987 1
O26 O 0.751 0.012 0.508 1
O27 O 0.751 0.488 0.488 1
O28 O 0.755 0.263 0.255 1
O29 O 0.757 0.757 0.742 1
O30 O 0.989 0.253 0.489 1
O31 O 0.990 0.490 0.248 1
O32 O 0.992 0.992 0.749 1
```

Main lines, by angle (2θ = 15–90°):
d 4.860, I = 18; d 2.986, I = 45; d 2.561, I = 100; d 2.556, I = 18; d 2.544, I = 30; d 2.118, I = 24; d 1.631, I = 17; d 1.626, I = 16; d 1.503, I = 34; d 1.493, I = 32